Starting from a cell relaxed with PBE, the powder XRD pattern of PmMg9Cd3 was simulated for Cu Kα, 1.54184 Å.
Peak positions follow from Bragg's law for the DFT cell and can differ from measured ones.

a = 5.923 Å, b = 14.220 Å, c = 7.704 Å
α = 90.00°, β = 112.12°, γ = 90.00°
Space group C2/m (No. 12)
One atom of each set of equivalent atoms:
Pm 0.000 0.000 0.000
Mg 0.000 0.000 0.500
Mg 0.105 0.393 0.211
Mg 0.175 0.176 0.348
Cd 0.000 0.500 0.500
Cd 0.250 0.250 0.000

Largest 6 diffraction maxima, by angle, 10 to 80 degrees two-theta:
(0 0 1), 12.4 deg, I 384
(1 1 -1), 17.4 deg, I 340
(0 4 0), 25.0 deg, I 604
(2 2 0), 35.1 deg, I 509
(2 2 -2), 35.2 deg, I 498
(0 4 2), 35.6 deg, I 1000